The following is a simulated powder diffraction line list of Hg3S2I2. It was derived from a cell relaxed with GGA-PBE, using Cu Ka.

The 12 most intense peaks (2θ from 10° to 90°), in order of falling intensity:
2θ 31.63, 2.829 Å, I = 100
2θ 37.05, 2.426 Å, I = 40
2θ 20.48, 4.337 Å, I = 32
2θ 35.95, 2.498 Å, I = 29
2θ 22.34, 3.979 Å, I = 26
2θ 27.21, 3.278 Å, I = 22
2θ 24.31, 3.662 Å, I = 21
2θ 52.53, 1.742 Å, I = 19
2θ 12.71, 6.965 Å, I = 19
2θ 52.61, 1.740 Å, I = 13
2θ 61.93, 1.498 Å, I = 13
2θ 27.60, 3.232 Å, I = 13

Structural model:
a b c (Å): 11.941 11.941 11.941
angles (deg): 130.53 71.40 132.00
Element x y z (fractional)
Hg 0.150 0.000 0.650
Hg 0.150 0.500 0.150
Hg 0.161 0.045 0.116
Hg 0.248 0.269 0.521
Hg 0.248 0.727 0.979
Hg 0.428 0.045 0.384
Hg 0.572 0.955 0.616
Hg 0.752 0.273 0.021
Hg 0.752 0.731 0.479
Hg 0.839 0.955 0.884
Hg 0.850 0.000 0.350
Hg 0.850 0.500 0.850
S 0.125 0.244 0.367
S 0.125 0.758 0.881
S 0.377 0.244 0.619
S 0.377 0.758 0.133
S 0.623 0.242 0.867
S 0.623 0.756 0.381
S 0.875 0.242 0.119
S 0.875 0.756 0.633
I 0.019 0.269 0.750
I 0.241 0.741 0.500
I 0.259 0.259 0.000
I 0.494 0.744 0.750
I 0.506 0.256 0.250
I 0.741 0.741 0.000
I 0.759 0.259 0.500
I 0.981 0.731 0.250

The following is a simulated powder diffraction line list of YInCu2. It was derived from a cell relaxed with GGA-PBE, using Cu Ka.

The 12 most intense peaks (2θ from 10° to 90°), in order of falling intensity:
2θ 39.00, 2.309 Å, I = 100
2θ 38.88, 2.316 Å, I = 50
2θ 70.49, 1.336 Å, I = 32
2θ 56.16, 1.638 Å, I = 16
2θ 70.73, 1.332 Å, I = 16
2θ 83.77, 1.155 Å, I = 10
2θ 56.53, 1.628 Å, I = 8
2θ 27.22, 3.276 Å, I = 5
2θ 83.46, 1.158 Å, I = 5
2θ 27.39, 3.256 Å, I = 3
2θ 48.21, 1.887 Å, I = 2
2θ 23.57, 3.775 Å, I = 2

Structural model:
a b c (Å): 4.634 6.512 4.631
angles (deg): 90.00 90.00 90.00
Element x y z (fractional)
Y 0.250 0.250 0.246
Y 0.750 0.750 0.754
In 0.250 0.750 0.248
In 0.750 0.250 0.752
Cu 0.250 0.000 0.743
Cu 0.250 0.500 0.743
Cu 0.750 0.000 0.257
Cu 0.750 0.500 0.257

The following is a simulated powder diffraction line list of PdSe2Br2Cl4. It was derived from a cell relaxed with GGA-PBE, using Cu Ka.

The 12 most intense peaks (2θ from 10° to 90°), in order of falling intensity:
2θ 10.54, 8.393 Å, I = 100
2θ 14.33, 6.181 Å, I = 100
2θ 31.48, 2.842 Å, I = 88
2θ 20.62, 4.307 Å, I = 84
2θ 23.99, 3.710 Å, I = 66
2θ 34.84, 2.575 Å, I = 63
2θ 36.21, 2.480 Å, I = 45
2θ 21.64, 4.107 Å, I = 43
2θ 43.95, 2.060 Å, I = 35
2θ 27.82, 3.207 Å, I = 34
2θ 22.46, 3.958 Å, I = 26
2θ 27.69, 3.222 Å, I = 24

Structural model:
a b c (Å): 4.670 7.097 8.788
angles (deg): 105.38 97.07 91.94
Element x y z (fractional)
Pd 0.000 0.000 0.000
Se 0.334 0.222 0.209
Se 0.666 0.778 0.791
Br 0.087 0.512 0.223
Br 0.913 0.488 0.777
Cl 0.264 0.174 0.438
Cl 0.302 0.125 0.852
Cl 0.698 0.875 0.148
Cl 0.736 0.826 0.562

The following is a simulated powder diffraction line list of Cu7Ge. It was derived from a cell relaxed with GGA-PBE, using Cu Ka.

The 12 most intense peaks (2θ from 10° to 90°), in order of falling intensity:
2θ 43.60, 2.076 Å, I = 100
2θ 42.29, 2.137 Å, I = 60
2θ 49.96, 1.826 Å, I = 52
2θ 89.36, 1.096 Å, I = 22
2θ 73.45, 1.289 Å, I = 18
2θ 50.12, 1.820 Å, I = 18
2θ 73.33, 1.291 Å, I = 15
2θ 88.47, 1.105 Å, I = 12
2θ 75.35, 1.261 Å, I = 10
2θ 52.45, 1.745 Å, I = 8
2θ 10.56, 8.374 Å, I = 8
2θ 38.89, 2.316 Å, I = 5

Structural model:
a b c (Å): 2.582 2.582 41.870
angles (deg): 90.00 90.00 90.00
Element x y z (fractional)
Cu 0.250 0.250 0.021
Cu 0.250 0.250 0.106
Cu 0.250 0.250 0.191
Cu 0.250 0.250 0.277
Cu 0.250 0.250 0.766
Cu 0.250 0.250 0.852
Cu 0.250 0.250 0.937
Cu 0.750 0.750 0.063
Cu 0.750 0.750 0.148
Cu 0.750 0.750 0.234
Cu 0.750 0.750 0.723
Cu 0.750 0.750 0.809
Cu 0.750 0.750 0.894
Cu 0.750 0.750 0.979
Ge 0.250 0.250 0.674
Ge 0.750 0.750 0.326

The following is a simulated powder diffraction line list of RbErCuS3. It was derived from a cell relaxed with GGA-PBE, using Cu Ka.

The 12 most intense peaks (2θ from 10° to 90°), in order of falling intensity:
2θ 11.81, 7.491 Å, I = 100
2θ 30.44, 2.937 Å, I = 71
2θ 31.17, 2.869 Å, I = 42
2θ 23.75, 3.746 Å, I = 33
2θ 36.60, 2.455 Å, I = 22
2θ 45.53, 1.992 Å, I = 19
2θ 28.33, 3.150 Å, I = 19
2θ 35.35, 2.539 Å, I = 19
2θ 49.69, 1.835 Å, I = 18
2θ 46.22, 1.964 Å, I = 17
2θ 30.16, 2.963 Å, I = 17
2θ 24.78, 3.593 Å, I = 17

Structural model:
a b c (Å): 8.921 3.928 9.438
angles (deg): 90.00 109.65 90.00
Element x y z (fractional)
Rb 0.207 0.250 0.238
Rb 0.793 0.750 0.762
Er 0.329 0.750 0.857
Er 0.671 0.250 0.143
Cu 0.084 0.250 0.604
Cu 0.916 0.750 0.396
S 0.120 0.250 0.856
S 0.184 0.750 0.542
S 0.467 0.750 0.158
S 0.533 0.250 0.842
S 0.816 0.250 0.458
S 0.880 0.750 0.144

The following is a simulated powder diffraction line list of CuAg. It was derived from a cell relaxed with GGA-PBE, using Cu Ka.

The 12 most intense peaks (2θ from 10° to 90°), in order of falling intensity:
2θ 39.31, 2.292 Å, I = 100
2θ 45.23, 2.005 Å, I = 40
2θ 67.01, 1.397 Å, I = 35
2θ 38.55, 2.335 Å, I = 34
2θ 40.23, 2.242 Å, I = 27
2θ 43.80, 2.067 Å, I = 27
2θ 37.68, 2.387 Å, I = 26
2θ 35.08, 2.558 Å, I = 24
2θ 48.44, 1.879 Å, I = 23
2θ 46.79, 1.942 Å, I = 18
2θ 79.50, 1.206 Å, I = 16
2θ 62.46, 1.487 Å, I = 15

Structural model:
a b c (Å): 2.793 2.793 35.812
angles (deg): 90.00 90.00 120.00
Element x y z (fractional)
Cu 0.000 0.000 0.000
Cu 0.000 0.000 0.163
Cu 0.000 0.000 0.328
Cu 0.333 0.667 0.054
Cu 0.333 0.667 0.218
Cu 0.333 0.667 0.382
Cu 0.667 0.333 0.109
Cu 0.667 0.333 0.273
Ag 0.000 0.000 0.593
Ag 0.000 0.000 0.800
Ag 0.333 0.667 0.454
Ag 0.333 0.667 0.662
Ag 0.333 0.667 0.869
Ag 0.667 0.333 0.524
Ag 0.667 0.333 0.731
Ag 0.667 0.333 0.938